(1)
For Rb2CrCu2I6, a DFT-relaxed cell (GGA-PBE, Alexandria) gives the calculated powder diffraction line list in this record (Cu Kα (weighted mean of Kα1 and Kα2)).

Structural model:
```
Rb2CrCu2I6
1.0
7.4763 -3.9778 0.0000
7.4763 3.9778 0.0000
-3.9926 0.0000 7.3689
Rb Cr Cu I
2 1 2 6
Direct
0.2165 0.2165 0.2061
0.7835 0.7835 0.7939
0.0000 0.0000 0.5000
0.4346 0.4346 0.7184
0.5654 0.5654 0.2816
0.1947 0.7168 0.2332
0.2571 0.2571 0.6737
0.2832 0.8053 0.7668
0.7168 0.1947 0.2332
0.7429 0.7429 0.3263
0.8053 0.2832 0.7668
```

Largest 10 diffraction maxima, by angle, 5 to 70 degrees two-theta:
2θ 23.82, 3.736 Å, I = 47
2θ 24.16, 3.684 Å, I = 97
2θ 24.47, 3.637 Å, I = 47
2θ 25.99, 3.428 Å, I = 36
2θ 26.19, 3.403 Å, I = 100
2θ 26.37, 3.380 Å, I = 35
2θ 27.13, 3.287 Å, I = 39
2θ 31.07, 2.879 Å, I = 66
2θ 43.48, 2.081 Å, I = 40
2θ 46.31, 1.960 Å, I = 44

---

(2)
For KAg4Pd3F12, a DFT-relaxed cell (GGA-PBE, Alexandria) gives the calculated powder diffraction line list in this record (Cu Kα (weighted mean of Kα1 and Kα2)).

Structural model:
```
KAg4Pd3F12
1.0
-4.3243 4.3243 4.3243
4.3243 -4.3243 4.3243
4.3243 4.3243 -4.3243
K Ag Pd F
1 4 3 12
Direct
0.0000 0.0000 0.0000
0.0000 0.0000 0.5000
0.0000 0.5000 0.0000
0.5000 0.0000 0.0000
0.5000 0.5000 0.5000
0.0000 0.5000 0.5000
0.5000 0.0000 0.5000
0.5000 0.5000 0.0000
0.1559 0.3273 0.4832
0.1559 0.6727 0.8286
0.1714 0.8441 0.3273
0.3273 0.1714 0.8441
0.3273 0.4832 0.1559
0.4832 0.1559 0.3273
0.5168 0.8441 0.6727
0.6727 0.5168 0.8441
0.6727 0.8286 0.1559
0.8286 0.1559 0.6727
0.8441 0.3273 0.1714
0.8441 0.6727 0.5168
```

Largest 10 diffraction maxima, by angle, 5 to 70 degrees two-theta:
2θ 14.48, 6.115 Å, I = 6
2θ 25.22, 3.531 Å, I = 5
2θ 29.21, 3.058 Å, I = 100
2θ 32.74, 2.735 Å, I = 4
2θ 41.78, 2.162 Å, I = 21
2θ 44.44, 2.038 Å, I = 2
2θ 46.99, 1.934 Å, I = 2
2θ 51.79, 1.765 Å, I = 51
2θ 60.56, 1.529 Å, I = 12
2θ 68.63, 1.367 Å, I = 19